1.
Theoretical PXRD pattern
Compound: TmHg5
Radiation: Cu Kα, 1.54184 Å
Structure: the PBE geometry in Alexandria

Principal peaks in the range 10° ≤ 2θ ≤ 80°, by angle:
2θ/deg  intensity  (hkl)
28.9  100  2 1 1
33.4  76  1 1 4
35.3  79  2 1 3
38.0  60  2 0 4
40.0  79  3 1 0
59.5  35  4 0 4
62.6  41  3 3 4
72.9  27  3 1 8

a = 7.126 Å, b = 7.126 Å, c = 12.691 Å
α = 90.00°, β = 90.00°, γ = 90.00°
Space group I4/mcm (No. 140)
One atom of each set of equivalent atoms:
Tm 0.000 0.000 0.250 [4 per cell]
Hg 0.000 0.000 0.000 [4 per cell]
Hg 0.154 0.346 0.131 [16 per cell]

2.
Theoretical PXRD pattern
Compound: Tm4Hg
Radiation: Cu Kα, 1.54184 Å
Structure: the PBE geometry in Alexandria

Principal peaks in the range 10° ≤ 2θ ≤ 80°, by angle:
2θ/deg  intensity  (hkl)
23.2  33  1 1 2
31.5  86  1 1 4
32.0  100  1 2 1
33.6  39  1 0 5
36.5  70  2 1 3
37.4  32  2 0 4
46.8  23  3 1 2
59.5  44  1 3 6

a = 6.364 Å, b = 6.364 Å, c = 14.678 Å
α = 90.00°, β = 90.00°, γ = 90.00°
Space group I4_1/a (No. 88, origin choice 2)
One atom of each set of equivalent atoms:
Tm 0.142 0.001 0.204 [16 per cell]
Hg 0.000 0.250 0.625 [4 per cell]

3.
Theoretical PXRD pattern
Compound: Tm13Hg2
Radiation: Cu Kα, 1.54184 Å
Structure: the PBE geometry in Alexandria

Principal peaks in the range 10° ≤ 2θ ≤ 80°, by angle:
2θ/deg  intensity  (hkl)
32.0  41  1 1 3
32.5  100  2 2 1
32.9  55  -2 1 1
33.4  46  1 1 -2
33.6  49  0 3 2
45.1  15  3 0 2
48.2  16  1 4 0
59.6  15  -1 5 1

a = 6.551 Å, b = 8.440 Å, c = 8.682 Å
α = 66.80°, β = 78.94°, γ = 82.06°
Space group P-1 (No. 2)
One atom of each set of equivalent atoms:
Tm 0.000 0.000 0.000 [1 per cell]
Tm 0.120 0.480 0.734 [2 per cell]
Tm 0.204 0.231 0.148 [2 per cell]
Tm 0.249 0.941 0.579 [2 per cell]
Tm 0.302 0.653 0.972 [2 per cell]
Tm 0.370 0.410 0.388 [2 per cell]
Tm 0.499 0.146 0.796 [2 per cell]
Hg 0.058 0.772 0.379 [2 per cell]

4.
Theoretical PXRD pattern
Compound: YTm4Hg
Radiation: Cu Kα, 1.54184 Å
Structure: the PBE geometry in Alexandria

Principal peaks in the range 10° ≤ 2θ ≤ 80°, by angle:
2θ/deg  intensity  (hkl)
31.9  100  1 0 3
36.1  39  1 1 0
36.3  10  1 0 4
38.8  11  0 0 6
51.9  14  2 0 0
54.0  18  1 1 6
62.2  30  2 1 3
66.6  9  2 0 6

a = 3.523 Å, b = 3.523 Å, c = 13.940 Å
α = 90.00°, β = 90.00°, γ = 90.00°
Space group P4/mmm (No. 123)
One atom of each set of equivalent atoms:
Y 0.000 0.000 0.000 [1 per cell]
Tm 0.000 0.000 0.356 [2 per cell]
Tm 0.500 0.500 0.179 [2 per cell]
Hg 0.500 0.500 0.500 [1 per cell]

5.
Theoretical PXRD pattern
Compound: YTm2Hg
Radiation: Cu Kα, 1.54184 Å
Structure: the PBE geometry in Alexandria

Principal peaks in the range 10° ≤ 2θ ≤ 80°, by angle:
2θ/deg  intensity  (hkl)
31.0  100  1 0 4
34.3  22  0 0 12
37.0  59  0 1 8
51.1  26  1 1 0
55.4  14  1 0 16
61.0  15  0 2 4
62.9  23  1 1 12
64.7  12  2 0 8

a = 3.5779 Å, b = 3.5779 Å, c = 31.3924 Å
α = 90.00°, β = 90.00°, γ = 120.00°
Space group R-3m (No. 166, hexagonal axes)
One atom of each set of equivalent atoms:
Y 0.0000 0.0000 0.0000 [3 per cell]
Tm 0.0000 0.0000 0.2423 [6 per cell]
Hg 0.0000 0.0000 0.5000 [3 per cell]

6.
Theoretical PXRD pattern
Compound: Y3TmHg7
Radiation: Cu Kα, 1.54184 Å
Structure: the PBE geometry in Alexandria

Principal peaks in the range 10° ≤ 2θ ≤ 80°, by angle:
2θ/deg  intensity  (hkl)
32.6  100  1 1 3
35.9  51  1 9 0
36.1  48  0 10 3
36.6  48  1 9 1
36.9  49  0 8 4
37.9  37  1 1 4
43.1  32  0 0 6
63.7  39  2 8 4

a = 3.651 Å, b = 30.874 Å, c = 12.585 Å
α = 90.00°, β = 90.00°, γ = 90.00°
Space group Cmcm (No. 63)
One atom of each set of equivalent atoms:
Y 0.000 0.069 0.048 [8 per cell]
Y 0.000 0.189 0.750 [4 per cell]
Tm 0.000 0.071 0.750 [4 per cell]
Hg 0.000 0.270 0.078 [8 per cell]
Hg 0.000 0.373 0.103 [8 per cell]
Hg 0.000 0.420 0.750 [4 per cell]
Hg 0.000 0.488 0.118 [8 per cell]

7.
Theoretical PXRD pattern
Compound: YTmZnHg
Radiation: Cu Kα, 1.54184 Å
Structure: the PBE geometry in Alexandria

Principal peaks in the range 10° ≤ 2θ ≤ 80°, by angle:
2θ/deg  intensity  (hkl)
12.0  20  0 0 1
27.6  18  1 0 1
34.9  100  1 0 2
35.3  49  1 1 0
50.8  18  2 0 0
62.3  17  1 1 4
63.1  36  2 1 2
73.7  11  2 0 4

a = 3.592 Å, b = 3.592 Å, c = 7.370 Å
α = 90.00°, β = 90.00°, γ = 90.00°
Space group P4mm (No. 99)
One atom of each set of equivalent atoms:
Y 0.000 0.000 0.000 [1 per cell]
Tm 0.000 0.000 0.469 [1 per cell]
Zn 0.500 0.500 0.242 [1 per cell]
Hg 0.500 0.500 0.726 [1 per cell]

8.
Theoretical PXRD pattern
Compound: Tm4Zn2Hg
Radiation: Cu Kα, 1.54184 Å
Structure: the PBE geometry in Alexandria

Principal peaks in the range 10° ≤ 2θ ≤ 80°, by angle:
2θ/deg  intensity  (hkl)
25.3  24  1 0 4
27.7  16  0 1 5
33.2  14  1 0 7
35.9  100  1 1 0
36.3  91  0 1 8
52.0  32  2 0 8
64.6  18  3 0 0
64.8  33  1 2 8

a = 4.9994 Å, b = 4.9994 Å, c = 24.1598 Å
α = 90.00°, β = 90.00°, γ = 120.00°
Space group R-3m (No. 166, hexagonal axes)
One atom of each set of equivalent atoms:
Tm 0.0000 0.0000 0.1172 [6 per cell]
Tm 0.0000 0.0000 0.3700 [6 per cell]
Zn 0.0000 0.0000 0.2492 [6 per cell]
Hg 0.0000 0.0000 0.5000 [3 per cell]

9.
Theoretical PXRD pattern
Compound: TmZnHg
Radiation: Cu Kα, 1.54184 Å
Structure: the PBE geometry in Alexandria

Principal peaks in the range 10° ≤ 2θ ≤ 80°, by angle:
2θ/deg  intensity  (hkl)
23.1  16  1 1 -1
34.3  100  4 0 -2
38.5  50  3 1 0
38.7  25  0 2 0
52.6  22  4 2 -2
53.6  13  4 0 -4
66.8  12  7 1 -2
67.9  19  1 1 -4

a = 10.619 Å, b = 4.657 Å, c = 6.842 Å
α = 90.00°, β = 130.09°, γ = 90.00°
Space group C2/m (No. 12)
One atom of each set of equivalent atoms:
Tm 0.001 0.000 0.250 [4 per cell]
Zn 0.156 0.500 0.657 [4 per cell]
Hg 0.177 0.500 0.176 [4 per cell]

10.
Theoretical PXRD pattern
Compound: Tm2ZnHg8
Radiation: Cu Kα, 1.54184 Å
Structure: the PBE geometry in Alexandria

Principal peaks in the range 10° ≤ 2θ ≤ 80°, by angle:
2θ/deg  intensity  (hkl)
31.2  29  1 1 2
35.2  100  1 1 3
36.2  17  0 0 5
39.4  48  2 0 0
54.5  21  2 0 5
56.9  17  2 2 0
66.9  17  1 1 8
68.7  29  3 1 3

a = 4.577 Å, b = 4.577 Å, c = 12.414 Å
α = 90.00°, β = 90.00°, γ = 90.00°
Space group P4/mmm (No. 123)
One atom of each set of equivalent atoms:
Tm 0.000 0.000 0.193 [2 per cell]
Zn 0.000 0.000 0.500 [1 per cell]
Hg 0.000 0.500 0.000 [2 per cell]
Hg 0.000 0.500 0.370 [4 per cell]
Hg 0.500 0.500 0.186 [2 per cell]

11.
Theoretical PXRD pattern
Compound: Tm6ZnHg5
Radiation: Cu Kα, 1.54184 Å
Structure: the PBE geometry in Alexandria

Principal peaks in the range 10° ≤ 2θ ≤ 80°, by angle:
2θ/deg  intensity  (hkl)
34.7  100  1 3 2
34.8  20  2 0 0
50.0  22  2 6 0
62.2  22  0 6 4
62.4  22  3 3 2
73.1  2  0 12 0
73.3  9  2 6 4
73.6  2  4 0 0

a = 5.151 Å, b = 15.527 Å, c = 7.303 Å
α = 90.00°, β = 90.00°, γ = 90.00°
Space group Cmmm (No. 65)
One atom of each set of equivalent atoms:
Tm 0.000 0.000 0.245 [4 per cell]
Tm 0.000 0.335 0.247 [8 per cell]
Zn 0.000 0.500 0.000 [2 per cell]
Hg 0.000 0.163 0.000 [4 per cell]
Hg 0.000 0.167 0.500 [4 per cell]
Hg 0.000 0.500 0.500 [2 per cell]

12.
Theoretical PXRD pattern
Compound: Tm5ZrHg4
Radiation: Cu Kα, 1.54184 Å
Structure: the PBE geometry in Alexandria

Principal peaks in the range 10° ≤ 2θ ≤ 80°, by angle:
2θ/deg  intensity  (hkl)
33.8  100  1 0 5
35.6  46  1 1 0
45.9  9  0 0 10
51.2  16  2 0 0
59.4  17  1 1 10
62.8  34  2 1 5
71.2  10  2 0 10
77.2  6  1 0 15

a = 3.570 Å, b = 3.570 Å, c = 19.758 Å
α = 90.00°, β = 90.00°, γ = 90.00°
Space group P4/mmm (No. 123)
One atom of each set of equivalent atoms:
Tm 0.000 0.000 0.000 [1 per cell]
Tm 0.000 0.000 0.192 [2 per cell]
Tm 0.000 0.000 0.391 [2 per cell]
Zr 0.500 0.500 0.500 [1 per cell]
Hg 0.500 0.500 0.096 [2 per cell]
Hg 0.500 0.500 0.292 [2 per cell]

13.
Theoretical PXRD pattern
Compound: UHg6
Radiation: Cu Kα, 1.54184 Å
Structure: the PBE geometry in Alexandria

Principal peaks in the range 10° ≤ 2θ ≤ 80°, by angle:
2θ/deg  intensity  (hkl)
22.5  41  2 0 0
27.6  100  2 1 1
39.4  32  2 2 2
42.7  63  3 2 1
45.9  34  4 0 0
64.5  19  5 2 1
66.9  22  4 4 0
73.8  20  6 1 1

a = 7.916 Å, b = 7.916 Å, c = 7.916 Å
α = 90.00°, β = 90.00°, γ = 90.00°
Space group Im-3m (No. 229)
One atom of each set of equivalent atoms:
U 0.000 0.000 0.000 [2 per cell]
Hg 0.000 0.250 0.500 [12 per cell]

14.
Theoretical PXRD pattern
Compound: U4Hg
Radiation: Cu Kα, 1.54184 Å
Structure: the PBE geometry in Alexandria

Principal peaks in the range 10° ≤ 2θ ≤ 80°, by angle:
2θ/deg  intensity  (hkl)
15.8  17  1 0 0
27.5  78  1 1 1
31.8  100  2 0 0
45.6  76  2 2 0
54.1  38  3 1 1
56.7  27  2 2 2
73.3  16  3 3 1
75.6  36  4 2 0

a = 5.626 Å, b = 5.626 Å, c = 5.626 Å
α = 90.00°, β = 90.00°, γ = 90.00°
Space group Pm-3m (No. 221)
One atom of each set of equivalent atoms:
U 0.000 0.000 0.000 [1 per cell]
U 0.000 0.500 0.500 [3 per cell]
Hg 0.500 0.500 0.500 [1 per cell]